# Nd2Er2CI5
Theoretical XRD peak list, λ = 1.5418 Å (Cu Kα). Input: the GGA-PBE geometry in OQMD.
Kinematic intensities with the Lorentz-polarization factor, no thermal factor.

Top 10 peaks for 2θ from 5° to 70°, in order of rising 2θ:
| d (Å) | Rel. int. |
| --- | --- |
| 9.246 | 20 |
| 8.503 | 22 |
| 3.253 | 23 |
| 3.082 | 52 |
| 2.991 | 27 |
| 2.943 | 100 |
| 2.713 | 30 |
| 2.706 | 20 |
| 2.552 | 21 |
| 2.129 | 57 |

Crystal structure
```
10
Lattice="9.494 -1.992 0.000 9.494 1.992 0.000 -1.982 0.000 8.503" Properties=species:S:1:pos:R:3 pbc="T T T"
Nd 2.457 0.000 0.579
Nd 14.549 0.000 7.924
Er 9.120 0.000 1.571
Er 7.886 0.000 6.932
C 0.000 0.000 0.000
I -0.991 0.000 4.251
I 5.965 0.000 1.630
I 5.154 0.000 5.510
I 11.852 0.000 2.993
I 11.042 0.000 6.873
```